(1)
The following is a theoretical X-ray powder pattern of Ac2Zn4NiPt3. It was derived from the GGA-PBE geometry in Alexandria, using CuKα.

Top 8 peaks for 5 to 70 degrees two-theta, sorted by position:
(1 1 0), 29.2°, I 28.4
(1 0 3), 32.4°, I 74.7
(1 1 2), 33.7°, I 100.0
(2 0 0), 41.8°, I 64.6
(1 0 5), 47.1°, I 39.1
(2 1 3), 53.9°, I 36.2
(2 2 0), 60.6°, I 22.6
(2 1 5), 64.8°, I 30.0

Crystal structure
```
data_Ac2Zn4NiPt3
_chemical_formula_sum 'Ac2 Zn4 Ni1 Pt3'
_cell_length_a 4.3213
_cell_length_b 4.3213
_cell_length_c 10.7906
_cell_angle_alpha 90.00
_cell_angle_beta 90.00
_cell_angle_gamma 90.00
_symmetry_space_group_name_H-M 'P -4 m 2'
_symmetry_Int_Tables_number 115
_symmetry_space_group_name_Hall 'P -4 -2'
loop_
_atom_site_label
_atom_site_fract_x
_atom_site_fract_y
_atom_site_fract_z
_atom_site_occupancy
Ac1 0.0000 0.5000 0.2419 1
Zn1 0.0000 0.0000 0.5000 1
Zn2 0.0000 0.5000 0.8801 1
Zn3 0.5000 0.5000 0.5000 1
Ni1 0.5000 0.5000 0.0000 1
Pt1 0.0000 0.0000 0.0000 1
Pt2 0.0000 0.5000 0.6402 1
```


(2)
The following is a theoretical X-ray powder pattern of YPCO2. It was derived from the GGA-PBE geometry in Alexandria, using CuKα.

Top 8 peaks for 5 to 70 degrees two-theta, sorted by position:
(1 0 0), 21.9°, I 26.0
(0 0 1), 24.6°, I 26.0
(1 1 0), 31.2°, I 48.2
(1 0 1), 33.2°, I 41.8
(1 1 1), 40.2°, I 100.0
(2 0 0), 44.7°, I 46.3
(2 1 1), 56.8°, I 16.7
(2 0 2), 69.8°, I 21.5

Crystal structure
```
data_YPCO2
_chemical_formula_sum 'Y1 P1 C1 O2'
_cell_length_a 4.0525
_cell_length_b 4.0525
_cell_length_c 3.6119
_cell_angle_alpha 90.00
_cell_angle_beta 90.00
_cell_angle_gamma 90.00
_symmetry_space_group_name_H-M 'P 4/m m m'
_symmetry_Int_Tables_number 123
_symmetry_space_group_name_Hall '-P 4 2'
loop_
_atom_site_label
_atom_site_fract_x
_atom_site_fract_y
_atom_site_fract_z
_atom_site_occupancy
Y1 0.0000 0.0000 0.0000 1
P1 0.5000 0.5000 0.0000 1
C1 0.5000 0.5000 0.5000 1
O1 0.0000 0.5000 0.5000 1
```


(3)
The following is a theoretical X-ray powder pattern of Hf7Zr3. It was derived from the GGA-PBE geometry in Alexandria, using CuKα.

Top 8 peaks for 5 to 70 degrees two-theta, sorted by position:
(3 1 -2), 34.7°, I 92.3
(5 1 0), 35.4°, I 100.0
(0 2 0), 36.8°, I 45.4
(2 0 2), 37.7°, I 41.4
(8 0 -2), 46.9°, I 17.0
(2 2 2), 53.7°, I 30.0
(8 2 -2), 61.1°, I 15.5
(5 3 0), 65.5°, I 16.8

Crystal structure
```
data_Hf7Zr3
_chemical_formula_sum 'Hf14 Zr6'
_cell_length_a 16.0664
_cell_length_b 4.8796
_cell_length_c 6.2393
_cell_angle_alpha 90.00
_cell_angle_beta 112.78
_cell_angle_gamma 90.00
_symmetry_space_group_name_H-M 'C 1 2/m 1'
_symmetry_Int_Tables_number 12
_symmetry_space_group_name_Hall '-C 2y'
loop_
_atom_site_label
_atom_site_fract_x
_atom_site_fract_y
_atom_site_fract_z
_atom_site_occupancy
Hf1 0.0000 0.0000 0.0000 1
Hf2 0.1044 0.5000 0.3546 1
Hf3 0.1044 0.5000 0.8546 1
Hf4 0.2005 0.0000 0.7009 1
Zr1 0.0000 0.0000 0.5000 1
Zr2 0.2004 0.0000 0.2007 1
```


(4)
The following is a theoretical X-ray powder pattern of Pm7PtS5. It was derived from the GGA-PBE geometry in Alexandria, using CuKα.

Top 8 peaks for 5 to 70 degrees two-theta, sorted by position:
(1 4 0), 27.6°, I 31.5
(0 7 1), 29.0°, I 100.0
(1 5 -1), 29.8°, I 37.7
(1 2 -2), 31.1°, I 91.9
(1 3 1), 32.2°, I 66.3
(0 5 3), 44.9°, I 24.8
(2 0 -1), 45.6°, I 30.6
(2 7 0), 55.0°, I 48.3

Crystal structure
```
data_Pm7PtS5
_chemical_formula_sum 'Pm14 Pt2 S10'
_cell_length_a 3.9806
_cell_length_b 24.2664
_cell_length_c 6.9487
_cell_angle_alpha 90.00
_cell_angle_beta 106.56
_cell_angle_gamma 90.00
_symmetry_space_group_name_H-M 'P 1 21/m 1'
_symmetry_Int_Tables_number 11
_symmetry_space_group_name_Hall '-P 2yb'
loop_
_atom_site_label
_atom_site_fract_x
_atom_site_fract_y
_atom_site_fract_z
_atom_site_occupancy
Pm1 0.0389 0.2500 0.0775 1
Pm2 0.1369 0.5363 0.2745 1
Pm3 0.3072 0.1769 0.6151 1
Pm4 0.4121 0.6063 0.8247 1
Pt1 0.3011 0.7500 0.6021 1
S1 0.0487 0.6425 0.0980 1
S2 0.2258 0.0709 0.4510 1
S3 0.5000 0.0000 0.0000 1
```


(5)
The following is a theoretical X-ray powder pattern of Pa3CdO8. It was derived from the GGA-PBE geometry in Alexandria, using CuKα.

Top 8 peaks for 5 to 70 degrees two-theta, sorted by position:
(1 0 1), 15.2°, I 100.0
(0 0 3), 15.9°, I 82.6
(0 2 1), 29.3°, I 45.9
(1 1 3), 29.7°, I 33.9
(2 0 2), 30.8°, I 61.9
(0 2 4), 36.1°, I 73.0
(2 2 0), 51.1°, I 26.2
(2 0 8), 52.8°, I 22.4

Crystal structure
```
data_Pa3CdO8
_chemical_formula_sum 'Pa9 Cd3 O24'
_cell_length_a 7.1550
_cell_length_b 7.1550
_cell_length_c 16.7371
_cell_angle_alpha 90.00
_cell_angle_beta 90.00
_cell_angle_gamma 120.00
_symmetry_space_group_name_H-M 'R -3 m'
_symmetry_Int_Tables_number 166
_symmetry_space_group_name_Hall '-R 3 2"'
loop_
_atom_site_label
_atom_site_fract_x
_atom_site_fract_y
_atom_site_fract_z
_atom_site_occupancy
Pa1 0.0000 0.5000 0.0000 1
Cd1 0.0000 0.0000 0.5000 1
O1 0.0000 0.0000 0.2732 1
O2 0.0591 0.5295 0.2681 1
```


(6)
The following is a theoretical X-ray powder pattern of SrIn2Cu9. It was derived from the GGA-PBE geometry in Alexandria, using CuKα.

Top 8 peaks for 5 to 70 degrees two-theta, sorted by position:
(3 1 0), 33.1°, I 17.5
(0 0 2), 35.2°, I 17.6
(3 1 1), 37.6°, I 93.2
(2 0 2), 41.2°, I 26.8
(3 2 1), 42.0°, I 53.3
(2 1 2), 42.6°, I 100.0
(4 1 0), 43.6°, I 45.3
(3 3 0), 44.9°, I 20.0

Crystal structure
```
data_SrIn2Cu9
_chemical_formula_sum 'Sr2 In4 Cu18'
_cell_length_a 8.5675
_cell_length_b 8.5675
_cell_length_c 5.0963
_cell_angle_alpha 90.00
_cell_angle_beta 90.00
_cell_angle_gamma 90.00
_symmetry_space_group_name_H-M 'P 4/m b m'
_symmetry_Int_Tables_number 127
_symmetry_space_group_name_Hall '-P 4 2ab'
loop_
_atom_site_label
_atom_site_fract_x
_atom_site_fract_y
_atom_site_fract_z
_atom_site_occupancy
Sr1 0.0000 0.0000 0.0000 1
In1 0.1230 0.3770 0.0000 1
Cu1 0.0000 0.5000 0.5000 1
Cu2 0.0657 0.2097 0.5000 1
Cu3 0.1760 0.6760 0.2484 1
```


(7)
The following is a theoretical X-ray powder pattern of Tb5Y2HoIn. It was derived from the GGA-PBE geometry in Alexandria, using CuKα.

Top 8 peaks for 5 to 70 degrees two-theta, sorted by position:
(0 6 1), 27.9°, I 14.5
(1 1 3), 30.8°, I 29.4
(1 5 2), 32.6°, I 100.0
(2 0 0), 33.3°, I 32.9
(0 0 4), 34.1°, I 16.2
(2 0 4), 48.4°, I 12.1
(3 5 2), 59.1°, I 18.1
(1 11 3), 59.4°, I 8.9

Crystal structure
```
data_Tb5Y2HoIn
_chemical_formula_sum 'Tb20 Y8 Ho4 In4'
_cell_length_a 5.3782
_cell_length_b 20.1756
_cell_length_c 10.5130
_cell_angle_alpha 90.00
_cell_angle_beta 90.00
_cell_angle_gamma 90.00
_symmetry_space_group_name_H-M 'C m c m'
_symmetry_Int_Tables_number 63
_symmetry_space_group_name_Hall '-C 2c 2'
loop_
_atom_site_label
_atom_site_fract_x
_atom_site_fract_y
_atom_site_fract_z
_atom_site_occupancy
Tb1 0.0000 0.0000 0.0000 1
Tb2 0.0000 0.1171 0.2500 1
Tb3 0.0000 0.2113 0.5516 1
Tb4 0.0000 0.4867 0.2500 1
Y1 0.0000 0.3843 0.5414 1
Ho1 0.0000 0.2923 0.2500 1
In1 0.0000 0.0961 0.7500 1
```


(8)
The following is a theoretical X-ray powder pattern of KNaCa2Br6. It was derived from the GGA-PBE geometry in Alexandria, using CuKα.

Top 8 peaks for 5 to 70 degrees two-theta, sorted by position:
(0 1 2), 16.0°, I 19.7
(0 0 6), 26.6°, I 18.6
(1 1 3), 26.8°, I 100.0
(0 2 4), 32.3°, I 21.9
(2 -1 6), 35.6°, I 35.5
(3 -1 1), 36.0°, I 10.9
(3 0 0), 40.7°, I 26.2
(1 1 9), 47.0°, I 20.8

Crystal structure
```
data_KNaCa2Br6
_chemical_formula_sum 'K3 Na3 Ca6 Br18'
_cell_length_a 7.6718
_cell_length_b 7.6718
_cell_length_c 20.1231
_cell_angle_alpha 90.00
_cell_angle_beta 90.00
_cell_angle_gamma 120.00
_symmetry_space_group_name_H-M 'R 3'
_symmetry_Int_Tables_number 146
_symmetry_space_group_name_Hall 'R 3'
loop_
_atom_site_label
_atom_site_fract_x
_atom_site_fract_y
_atom_site_fract_z
_atom_site_occupancy
K1 0.0000 0.0000 0.0000 1
Na1 0.0000 0.0000 0.4862 1
Ca1 0.0000 0.0000 0.2839 1
Ca2 0.0000 0.0000 0.7911 1
Br1 0.0100 0.3711 0.5438 1
Br2 0.0152 0.6045 0.0460 1
```


(9)
The following is a theoretical X-ray powder pattern of MgTiInCu. It was derived from the GGA-PBE geometry in Alexandria, using CuKα.

Top 8 peaks for 5 to 70 degrees two-theta, sorted by position:
(0 0 1), 11.5°, I 13.5
(0 0 2), 23.2°, I 20.6
(1 0 0), 29.1°, I 20.4
(1 0 1), 31.4°, I 11.9
(1 0 2), 37.5°, I 100.0
(1 1 0), 41.6°, I 40.4
(2 0 0), 60.3°, I 13.1
(1 1 4), 64.9°, I 14.2

Crystal structure
```
data_MgTiInCu
_chemical_formula_sum 'Mg1 Ti1 In1 Cu1'
_cell_length_a 3.0679
_cell_length_b 3.0679
_cell_length_c 7.6675
_cell_angle_alpha 90.00
_cell_angle_beta 90.00
_cell_angle_gamma 90.00
_symmetry_space_group_name_H-M 'P 4 m m'
_symmetry_Int_Tables_number 99
_symmetry_space_group_name_Hall 'P 4 -2'
loop_
_atom_site_label
_atom_site_fract_x
_atom_site_fract_y
_atom_site_fract_z
_atom_site_occupancy
Mg1 0.0000 0.0000 0.0000 1
Ti1 0.0000 0.0000 0.5852 1
In1 0.5000 0.5000 0.3044 1
Cu1 0.5000 0.5000 0.7838 1
```


(10)
The following is a theoretical X-ray powder pattern of BiPd2Cl6. It was derived from the GGA-PBE geometry in Alexandria, using CuKα.

Top 8 peaks for 5 to 70 degrees two-theta, sorted by position:
(1 1 -1), 14.1°, I 60.7
(1 1 1), 20.0°, I 71.0
(2 2 -1), 21.3°, I 100.0
(1 1 -2), 25.4°, I 56.6
(0 0 2), 27.0°, I 57.0
(3 1 -2), 29.3°, I 44.6
(2 0 2), 38.3°, I 39.3
(0 6 0), 39.9°, I 37.7

Crystal structure
```
data_BiPd2Cl6
_chemical_formula_sum 'Bi4 Pd8 Cl24'
_cell_length_a 11.2929
_cell_length_b 13.5711
_cell_length_c 7.3065
_cell_angle_alpha 90.00
_cell_angle_beta 115.35
_cell_angle_gamma 90.00
_symmetry_space_group_name_H-M 'C 1 2/c 1'
_symmetry_Int_Tables_number 15
_symmetry_space_group_name_Hall '-C 2yc'
loop_
_atom_site_label
_atom_site_fract_x
_atom_site_fract_y
_atom_site_fract_z
_atom_site_occupancy
Bi1 0.0000 0.1080 0.2500 1
Pd1 0.1231 0.4148 0.1392 1
Cl1 0.1020 0.4119 0.5904 1
Cl2 0.1359 0.2403 0.1634 1
Cl3 0.1452 0.0720 0.6616 1
```


(11)
The following is a theoretical X-ray powder pattern of LiEu3SiCl3O4. It was derived from the GGA-PBE geometry in Alexandria, using CuKα.

Top 8 peaks for 5 to 70 degrees two-theta, sorted by position:
(0 1 2), 18.1°, I 78.5
(2 1 1), 23.5°, I 76.2
(2 1 2), 26.1°, I 100.0
(0 2 2), 28.6°, I 56.9
(2 1 3), 30.0°, I 87.2
(2 0 4), 32.3°, I 41.0
(4 0 0), 37.9°, I 39.7
(2 3 0), 43.0°, I 58.9

Crystal structure
```
data_LiEu3SiCl3O4
_chemical_formula_sum 'Li4 Eu12 Si4 Cl12 O16'
_cell_length_a 9.5073
_cell_length_b 7.0296
_cell_length_c 13.6486
_cell_angle_alpha 90.00
_cell_angle_beta 90.00
_cell_angle_gamma 90.00
_symmetry_space_group_name_H-M 'P m n a'
_symmetry_Int_Tables_number 53
_symmetry_space_group_name_Hall '-P 2ac 2'
loop_
_atom_site_label
_atom_site_fract_x
_atom_site_fract_y
_atom_site_fract_z
_atom_site_occupancy
Li1 0.0000 0.0000 0.0000 1
Li2 0.0000 0.0000 0.5000 1
Eu1 0.0000 0.2766 0.1893 1
Eu2 0.2402 0.5000 0.5000 1
Eu3 0.2500 0.1690 0.7500 1
Si1 0.0000 0.2930 0.8887 1
Cl1 0.0000 0.2969 0.6043 1
Cl2 0.1828 0.1657 0.3731 1
O1 0.0000 0.0775 0.8410 1
O2 0.0000 0.2764 0.0089 1
O3 0.1394 0.4125 0.8506 1
```


(12)
The following is a theoretical X-ray powder pattern of Tb3Zn4Cu4. It was derived from the GGA-PBE geometry in Alexandria, using CuKα.

Top 8 peaks for 5 to 70 degrees two-theta, sorted by position:
(1 1 0), 33.2°, I 30.3
(1 0 -3), 34.1°, I 100.0
(1 -1 2), 35.2°, I 98.0
(1 1 3), 35.3°, I 97.8
(0 2 1), 43.1°, I 95.2
(0 1 6), 43.3°, I 37.2
(2 0 1), 50.1°, I 36.6
(2 -2 0), 68.2°, I 32.2

Crystal structure
```
data_Tb3Zn4Cu4
_chemical_formula_sum 'Tb3 Zn4 Cu4'
_cell_length_a 3.6440
_cell_length_b 4.2028
_cell_length_c 13.5718
_cell_angle_alpha 81.33
_cell_angle_beta 82.38
_cell_angle_gamma 89.90
_symmetry_space_group_name_H-M 'P -1'
_symmetry_Int_Tables_number 2
_symmetry_space_group_name_Hall '-P 1'
loop_
_atom_site_label
_atom_site_fract_x
_atom_site_fract_y
_atom_site_fract_z
_atom_site_occupancy
Tb1 0.0000 0.0000 0.0000 1
Tb2 0.1478 0.6470 0.7070 1
Zn1 0.2550 0.2562 0.4903 1
Zn2 0.4029 0.9046 0.1912 1
Cu1 0.3094 0.8116 0.3783 1
Cu2 0.4508 0.4523 0.0941 1
```